Record 1
Diffraction record for KPdN. The powder diffractogram is simulated, not measured: it uses a DFT-relaxed cell (PBE, the Materials Project) and a wavelength of 1.5418 Å.
Neutral-atom scattering factors, no anomalous dispersion.

Top 8 peaks for 2θ = 10–90°, by angle:
Position (°2θ)	Rel. int.
20.20	100.0
31.41	79.5
35.36	52.5
41.06	15.0
48.02	24.0
53.26	13.5
61.03	23.2
61.63	18.7

```
KPdN
1.0
5.076 0.000 0.000
-2.538 4.396 0.000
0.000 0.000 3.738
K Pd N
1 1 1
direct
0.000 0.000 0.000
0.667 0.333 0.500
0.667 0.333 0.000
```



Record 2
Diffraction record for KPtN. The powder diffractogram is simulated, not measured: it uses a DFT-relaxed cell (PBE, the Materials Project) and a wavelength of 1.5418 Å.
Neutral-atom scattering factors, no anomalous dispersion.

Top 8 peaks for 2θ = 10–90°, by angle:
Position (°2θ)	Rel. int.
19.13	39.3
23.85	38.4
30.75	100.0
33.98	33.9
39.28	18.5
48.82	15.1
52.52	19.9
58.81	31.2

```
KPtN
1.0
3.731 0.000 0.000
0.000 3.731 0.000
0.000 0.000 9.281
K Pt N
2 2 2
direct
0.000 0.000 0.250
0.000 0.000 0.750
0.500 0.500 0.000
0.500 0.500 0.500
0.000 0.500 0.000
0.500 0.000 0.500
```



Record 3
Diffraction record for K6ReN4. The powder diffractogram is simulated, not measured: it uses a DFT-relaxed cell (PBE, the Materials Project) and a wavelength of 1.5418 Å.
Neutral-atom scattering factors, no anomalous dispersion.

Top 8 peaks for 2θ = 10–90°, by angle:
Position (°2θ)	Rel. int.
14.75	38.1
16.46	94.5
26.73	100.0
29.64	59.9
29.76	52.3
34.19	49.7
42.53	57.2
45.79	25.3

```
K6ReN4
1.0
8.492 0.000 0.000
0.000 8.492 0.000
0.000 0.000 6.968
K Re N
12 2 8
direct
0.040 0.540 0.250
0.040 0.960 0.250
0.250 0.250 0.010
0.250 0.250 0.510
0.460 0.540 0.250
0.460 0.960 0.250
0.540 0.040 0.750
0.540 0.460 0.750
0.750 0.750 0.490
0.750 0.750 0.990
0.960 0.040 0.750
0.960 0.460 0.750
0.250 0.750 0.750
0.750 0.250 0.250
0.068 0.750 0.600
0.250 0.568 0.900
0.250 0.932 0.900
0.432 0.750 0.600
0.568 0.250 0.400
0.750 0.068 0.100
0.750 0.432 0.100
0.932 0.250 0.400
```



Record 4
Diffraction record for KRuN. The powder diffractogram is simulated, not measured: it uses a DFT-relaxed cell (PBE, the Materials Project) and a wavelength of 1.5418 Å.
Neutral-atom scattering factors, no anomalous dispersion.

Top 8 peaks for 2θ = 10–90°, by angle:
Position (°2θ)	Rel. int.
15.82	67.4
31.93	69.1
33.24	100.0
38.20	80.6
54.27	22.7
56.02	18.7
64.37	17.5
65.96	21.7

```
KRuN
1.0
2.841 -1.646 0.000
2.841 1.646 0.000
-1.892 0.000 5.603
K Ru N
1 1 1
direct
0.000 0.000 0.000
0.495 0.495 0.486
0.804 0.804 0.409
```



Record 5
Diffraction record for KRuN. The powder diffractogram is simulated, not measured: it uses a DFT-relaxed cell (PBE, the Materials Project) and a wavelength of 1.5418 Å.
Neutral-atom scattering factors, no anomalous dispersion.

Top 8 peaks for 2θ = 10–90°, by angle:
Position (°2θ)	Rel. int.
16.95	29.1
25.54	14.8
30.81	100.0
34.28	20.2
36.44	26.2
50.89	21.6
59.24	17.2
62.09	18.3

```
KRuN
1.0
2.464 -2.468 0.000
2.464 2.468 0.000
-0.009 0.000 10.463
K Ru N
2 2 2
direct
0.000 0.000 0.000
0.000 0.000 0.500
0.499 0.500 0.755
0.500 0.499 0.255
0.500 0.999 0.209
0.999 0.500 0.709
```



Record 6
Diffraction record for K2Se4N. The powder diffractogram is simulated, not measured: it uses a DFT-relaxed cell (PBE, the Materials Project) and a wavelength of 1.5418 Å.
Neutral-atom scattering factors, no anomalous dispersion.

Top 8 peaks for 2θ = 10–90°, by angle:
Position (°2θ)	Rel. int.
17.73	53.9
27.61	41.1
28.27	28.3
29.21	28.9
29.37	100.0
33.89	40.7
34.79	45.7
43.22	30.9

```
K2Se4N
1.0
5.007 -3.830 0.000
5.007 3.830 0.000
-0.478 0.000 11.254
K Se N
4 8 2
direct
0.180 0.820 0.500
0.429 0.811 0.148
0.811 0.429 0.648
0.820 0.180 0.000
0.257 0.371 0.048
0.265 0.785 0.810
0.334 0.402 0.845
0.371 0.257 0.548
0.402 0.334 0.345
0.785 0.265 0.310
0.892 0.903 0.747
0.903 0.892 0.247
0.668 0.784 0.469
0.784 0.668 0.969
```